Entry 1:
Starting from a cell relaxed with PBE, the powder X-ray diffraction pattern of K3RhF6 was computed for Cu Kα, 1.54184 Å.

Crystal structure
a b c (Å): 6.6798 6.6798 6.6811
angles (deg): 103.26 103.26 103.40
Atoms (fractional coordinates):
K1 0.0000 0.0000 0.0000
K2 0.0000 0.5000 0.5000
K3 0.5000 0.0000 0.5000
Rh1 0.0000 0.0000 0.5000
F1 0.0615 0.7783 0.2781
F2 0.2223 0.2223 0.4388
F3 0.2217 0.9385 0.7219
F4 0.7783 0.0615 0.2781
F5 0.7777 0.7777 0.5612
F6 0.9385 0.2217 0.7219

Top 12 peaks for 2θ from 10° to 90°, by intensity:
- 6.204 Å, I 100
- 3.102 Å, I 15
- 2.413 Å, I 13
- 5.239 Å, I 13
- 2.001 Å, I 12
- 2.620 Å, I 11
- 2.068 Å, I 10
- 2.492 Å, I 8
- 3.181 Å, I 8
- 2.669 Å, I 7
- 1.624 Å, I 6
- 1.924 Å, I 5

Entry 2:
Starting from a cell relaxed with PBE, the powder X-ray diffraction pattern of K2TlRhF6 was computed for Cu Kα, 1.54184 Å.

Crystal structure
a b c (Å): 6.0197 9.0349 7.2202
angles (deg): 90.00 90.00 90.00
Atoms (fractional coordinates):
K1 0.2500 0.0395 0.1761
K2 0.2500 0.4605 0.1761
K3 0.7500 0.5395 0.8239
K4 0.7500 0.9605 0.8239
Tl1 0.2500 0.2500 0.6804
Tl2 0.7500 0.7500 0.3196
Rh1 0.2500 0.7500 0.8125
Rh2 0.7500 0.2500 0.1875
F1 0.0058 0.7500 0.6215
F2 0.0144 0.7500 0.0129
F3 0.2500 0.5262 0.8145
F4 0.2500 0.9738 0.8145
F5 0.4856 0.7500 0.0129
F6 0.4942 0.7500 0.6215
F7 0.5058 0.2500 0.3785
F8 0.5144 0.2500 0.9871
F9 0.7500 0.0262 0.1855
F10 0.7500 0.4738 0.1855
F11 0.9856 0.2500 0.9871
F12 0.9942 0.2500 0.3785

Top 12 peaks for 2θ from 10° to 90°, by intensity:
- 3.231 Å, I 100
- 4.624 Å, I 74
- 4.517 Å, I 45
- 2.239 Å, I 34
- 4.116 Å, I 28
- 3.010 Å, I 26
- 2.169 Å, I 26
- 2.312 Å, I 24
- 3.352 Å, I 23
- 2.029 Å, I 21
- 2.259 Å, I 20
- 1.795 Å, I 20

Entry 3:
Starting from a cell relaxed with PBE, the powder X-ray diffraction pattern of KZn2RhF8 was computed for Cu Kα, 1.54184 Å.

Crystal structure
a b c (Å): 9.2763 9.2763 9.2763
angles (deg): 30.65 30.65 30.65
Atoms (fractional coordinates):
K1 0.0000 0.0000 0.0000
Zn1 0.2383 0.2383 0.2383
Zn2 0.7617 0.7617 0.7617
Rh1 0.5000 0.5000 0.5000
F1 0.1766 0.3856 0.7824
F2 0.2176 0.6144 0.8234
F3 0.3086 0.3086 0.3086
F4 0.3856 0.7824 0.1766
F5 0.6144 0.8234 0.2176
F6 0.6914 0.6914 0.6914
F7 0.7824 0.1766 0.3856
F8 0.8234 0.2176 0.6144

Top 12 peaks for 2θ from 10° to 90°, by intensity:
- 3.575 Å, I 100
- 8.834 Å, I 58
- 2.452 Å, I 41
- 2.612 Å, I 30
- 2.022 Å, I 29
- 1.641 Å, I 19
- 1.560 Å, I 18
- 2.096 Å, I 12
- 1.416 Å, I 12
- 4.193 Å, I 11
- 1.788 Å, I 9
- 1.445 Å, I 9

Entry 4:
Starting from a cell relaxed with PBE, the powder X-ray diffraction pattern of K5Ru2F12 was computed for Cu Kα, 1.54184 Å.

Crystal structure
a b c (Å): 6.8559 7.1151 8.1528
angles (deg): 88.08 89.94 61.20
Atoms (fractional coordinates):
K1 0.0000 0.0000 0.0000
K2 0.1652 0.6660 0.3977
K3 0.4106 0.1790 0.2093
K4 0.5894 0.8210 0.7907
K5 0.8348 0.3340 0.6023
Ru1 0.3065 0.3886 0.7687
Ru2 0.6935 0.6114 0.2313
F1 0.0015 0.3990 0.3096
F2 0.2047 0.1729 0.8373
F3 0.2454 0.5152 0.9825
F4 0.3671 0.2597 0.5532
F5 0.3745 0.8274 0.1672
F6 0.4015 0.6004 0.6871
F7 0.5985 0.3996 0.3129
F8 0.6255 0.1726 0.8328
F9 0.6329 0.7403 0.4468
F10 0.7546 0.4848 0.0175
F11 0.7953 0.8271 0.1627
F12 0.9985 0.6010 0.6904

Top 12 peaks for 2θ from 10° to 90°, by intensity:
- 2.202 Å, I 100
- 6.231 Å, I 85
- 3.296 Å, I 74
- 3.345 Å, I 69
- 3.428 Å, I 68
- 4.876 Å, I 63
- 5.042 Å, I 59
- 2.492 Å, I 56
- 4.793 Å, I 55
- 4.073 Å, I 46
- 6.007 Å, I 37
- 2.397 Å, I 28

Entry 5:
Starting from a cell relaxed with PBE, the powder X-ray diffraction pattern of K2RuF5 was computed for Cu Kα, 1.54184 Å.

Crystal structure
a b c (Å): 6.2253 6.2253 7.5513
angles (deg): 90.00 90.00 90.00
Atoms (fractional coordinates):
K1 0.0000 0.5000 0.0000
K2 0.0000 0.5000 0.5000
K3 0.5000 0.0000 0.0000
K4 0.5000 0.0000 0.5000
Ru1 0.0000 0.0000 0.2534
Ru2 0.5000 0.5000 0.7534
F1 0.0000 0.0000 0.9952
F2 0.2263 0.2263 0.2544
F3 0.2263 0.7737 0.2544
F4 0.2737 0.2737 0.7544
F5 0.2737 0.7263 0.7544
F6 0.5000 0.5000 0.4952
F7 0.7263 0.2737 0.7544
F8 0.7263 0.7263 0.7544
F9 0.7737 0.2263 0.2544
F10 0.7737 0.7737 0.2544

Top 12 peaks for 2θ from 10° to 90°, by intensity:
- 4.803 Å, I 100
- 2.866 Å, I 55
- 2.201 Å, I 34
- 2.612 Å, I 26
- 1.746 Å, I 22
- 3.113 Å, I 20
- 2.334 Å, I 16
- 1.433 Å, I 14
- 1.683 Å, I 14
- 1.888 Å, I 11
- 1.867 Å, I 11
- 1.556 Å, I 9

Entry 6:
Starting from a cell relaxed with PBE, the powder X-ray diffraction pattern of K2RuF7 was computed for Cu Kα, 1.54184 Å.

Crystal structure
a b c (Å): 7.4750 7.4750 9.8820
angles (deg): 125.76 125.76 51.08
Atoms (fractional coordinates):
K1 0.0021 0.6929 0.7710
K2 0.3071 0.9979 0.7290
K3 0.6929 0.0021 0.2710
K4 0.9979 0.3071 0.2290
Ru1 0.3024 0.6976 0.2500
Ru2 0.6976 0.3024 0.7500
F1 0.0266 0.1299 0.9033
F2 0.1299 0.0266 0.4033
F3 0.1838 0.5870 0.3077
F4 0.2483 0.4626 0.0122
F5 0.3915 0.6085 0.7500
F6 0.4130 0.8162 0.1923
F7 0.4626 0.2483 0.5122
F8 0.5374 0.7517 0.4878
F9 0.5870 0.1838 0.8077
F10 0.6085 0.3915 0.2500
F11 0.7517 0.5374 0.9878
F12 0.8162 0.4130 0.6923
F13 0.8701 0.9734 0.5967
F14 0.9734 0.8701 0.0967

Top 12 peaks for 2θ from 10° to 90°, by intensity:
- 5.389 Å, I 100
- 3.611 Å, I 69
- 3.765 Å, I 63
- 5.139 Å, I 53
- 2.963 Å, I 35
- 2.126 Å, I 33
- 4.911 Å, I 32
- 2.448 Å, I 27
- 1.918 Å, I 27
- 2.919 Å, I 24
- 3.549 Å, I 21
- 3.369 Å, I 18

Entry 7:
Starting from a cell relaxed with PBE, the powder X-ray diffraction pattern of KTlRuF6 was computed for Cu Kα, 1.54184 Å.

Crystal structure
a b c (Å): 6.3283 6.3283 5.2831
angles (deg): 90.03 90.03 120.09
Atoms (fractional coordinates):
K1 0.0000 0.0000 0.0000
Tl1 0.3334 0.6666 0.5000
Ru1 0.6669 0.3331 0.0000
F1 0.4107 0.0763 0.7909
F2 0.4117 0.3332 0.2107
F3 0.6668 0.0776 0.2098
F4 0.6668 0.5883 0.7893
F5 0.9224 0.3332 0.7902
F6 0.9237 0.5893 0.2091

Top 12 peaks for 2θ from 10° to 90°, by intensity:
- 3.803 Å, I 100
- 3.163 Å, I 35
- 2.027 Å, I 32
- 1.928 Å, I 30
- 2.432 Å, I 28
- 5.478 Å, I 27
- 1.826 Å, I 12
- 1.460 Å, I 10
- 1.342 Å, I 9
- 1.677 Å, I 9
- 1.502 Å, I 8
- 2.379 Å, I 8

Entry 8:
Starting from a cell relaxed with PBE, the powder X-ray diffraction pattern of K2SF5 was computed for Cu Kα, 1.54184 Å.

Crystal structure
a b c (Å): 5.8813 5.8813 8.2560
angles (deg): 90.00 90.00 90.00
Atoms (fractional coordinates):
K1 0.0000 0.5000 0.0000
K2 0.0000 0.5000 0.5000
K3 0.5000 0.0000 0.0000
K4 0.5000 0.0000 0.5000
S1 0.0000 0.0000 0.2376
S2 0.5000 0.5000 0.7376
F1 0.0000 0.0000 0.5044
F2 0.2218 0.2218 0.2465
F3 0.2218 0.7782 0.2465
F4 0.2782 0.2782 0.7465
F5 0.2782 0.7218 0.7465
F6 0.5000 0.5000 0.0044
F7 0.7218 0.2782 0.7465
F8 0.7218 0.7218 0.7465
F9 0.7782 0.2218 0.2465
F10 0.7782 0.7782 0.2465

Top 12 peaks for 2θ from 10° to 90°, by intensity:
- 2.395 Å, I 100
- 4.790 Å, I 87
- 2.930 Å, I 86
- 2.079 Å, I 63
- 2.064 Å, I 33
- 1.465 Å, I 33
- 1.696 Å, I 24
- 2.493 Å, I 17
- 2.941 Å, I 16
- 1.470 Å, I 15
- 1.198 Å, I 14
- 1.253 Å, I 12

Entry 9:
Starting from a cell relaxed with PBE, the powder X-ray diffraction pattern of K2SbSF3 was computed for Cu Kα, 1.54184 Å.

Crystal structure
a b c (Å): 4.6370 5.3281 13.7205
angles (deg): 90.00 90.00 90.00
Atoms (fractional coordinates):
K1 0.0000 0.0000 0.1519
K2 0.0000 0.0000 0.8481
K3 0.5000 0.5000 0.3481
K4 0.5000 0.5000 0.6519
Sb1 0.0000 0.0000 0.5000
Sb2 0.5000 0.5000 0.0000
S1 0.0000 0.5000 0.5000
S2 0.5000 0.0000 0.0000
F1 0.0000 0.0000 0.3384
F2 0.0000 0.0000 0.6616
F3 0.0000 0.5000 0.0000
F4 0.5000 0.0000 0.5000
F5 0.5000 0.5000 0.1616
F6 0.5000 0.5000 0.8384

Top 12 peaks for 2θ from 10° to 90°, by intensity:
- 6.860 Å, I 100
- 3.498 Å, I 86
- 3.256 Å, I 59
- 2.664 Å, I 50
- 3.470 Å, I 50
- 4.393 Å, I 49
- 4.967 Å, I 34
- 2.318 Å, I 33
- 2.062 Å, I 32
- 2.287 Å, I 29
- 1.914 Å, I 26
- 1.749 Å, I 25

Entry 10:
Starting from a cell relaxed with PBE, the powder X-ray diffraction pattern of K2TcSF5 was computed for Cu Kα, 1.54184 Å.

Crystal structure
a b c (Å): 6.1433 6.1433 6.1433
angles (deg): 116.59 116.59 96.02
Atoms (fractional coordinates):
K1 0.0000 0.5000 0.5000
K2 0.5000 0.0000 0.5000
Tc1 0.2213 0.2213 0.0000
S1 0.9574 0.9574 0.0000
F1 0.0253 0.0253 0.5689
F2 0.0253 0.4563 0.0000
F3 0.4563 0.0253 0.0000
F4 0.4563 0.4563 0.4311
F5 0.4673 0.4673 0.0000

Top 12 peaks for 2θ from 10° to 90°, by intensity:
- 5.078 Å, I 100
- 2.283 Å, I 39
- 3.055 Å, I 36
- 3.229 Å, I 32
- 2.725 Å, I 21
- 2.522 Å, I 19
- 4.566 Å, I 17
- 1.527 Å, I 16
- 1.750 Å, I 15
- 2.539 Å, I 13
- 2.055 Å, I 13
- 1.829 Å, I 13

Entry 11:
Starting from a cell relaxed with PBE, the powder X-ray diffraction pattern of KTl2SF was computed for Cu Kα, 1.54184 Å.

Crystal structure
a b c (Å): 7.1359 4.0298 9.9606
angles (deg): 90.00 91.01 90.00
Atoms (fractional coordinates):
K1 0.2279 0.2500 0.0134
K2 0.7721 0.7500 0.9866
Tl1 0.1387 0.2500 0.6500
Tl2 0.3614 0.7500 0.3436
Tl3 0.6386 0.2500 0.6564
Tl4 0.8613 0.7500 0.3500
S1 0.3973 0.7500 0.7717
S2 0.6027 0.2500 0.2283
F1 0.0878 0.7500 0.1474
F2 0.9122 0.2500 0.8526

Top 12 peaks for 2θ from 10° to 90°, by intensity:
- 3.736 Å, I 100
- 3.133 Å, I 95
- 2.671 Å, I 79
- 3.320 Å, I 65
- 2.876 Å, I 54
- 2.924 Å, I 39
- 1.785 Å, I 39
- 2.095 Å, I 36
- 2.068 Å, I 33
- 3.340 Å, I 32
- 2.588 Å, I 31
- 3.377 Å, I 30

Entry 12:
Starting from a cell relaxed with PBE, the powder X-ray diffraction pattern of K3U2S5F2 was computed for Cu Kα, 1.54184 Å.

Crystal structure
a b c (Å): 12.4503 12.4503 12.4503
angles (deg): 155.37 155.37 35.11
Atoms (fractional coordinates):
K1 0.0000 0.0000 0.0000
K2 0.1888 0.1888 0.0000
K3 0.8112 0.8112 0.0000
U1 0.3902 0.3902 0.0000
U2 0.6098 0.6098 0.0000
S1 0.1117 0.6117 0.5000
S2 0.3883 0.8883 0.5000
S3 0.5000 0.5000 0.0000
S4 0.6117 0.1117 0.5000
S5 0.8883 0.3883 0.5000
F1 0.2989 0.2989 0.0000
F2 0.7011 0.7011 0.0000

Top 12 peaks for 2θ from 10° to 90°, by intensity:
- 5.182 Å, I 100
- 3.540 Å, I 89
- 5.935 Å, I 70
- 2.363 Å, I 61
- 3.755 Å, I 61
- 2.655 Å, I 57
- 2.124 Å, I 45
- 1.765 Å, I 33
- 2.424 Å, I 30
- 1.770 Å, I 22
- 4.409 Å, I 21
- 1.877 Å, I 20